Theoretical powder diffractogram
Compound: GdDyS2
Radiation: Cu Kα X-rays
Structure: a crystal structure in OQMD, relaxed with GGA-PBE
Kinematic intensities with the Lorentz-polarization factor, no thermal factor.

a = 3.923 Å, b = 3.923 Å, c = 5.549 Å
α = 90.00°, β = 90.00°, γ = 90.00°
Fractional positions:
Gd 0.000 0.000 0.000
Dy 0.500 0.500 0.500
S 0.000 0.000 0.500
S 0.500 0.500 0.000

Largest 9 diffraction maxima, by intensity, 2θ from 10° to 90°:
Position (°2θ)  d (Å)  I (rel.)
32.27  2.774  100.0
27.85  3.203  81.0
46.29  1.962  72.0
54.88  1.673  39.5
76.84  1.241  32.1
57.55  1.602  24.9
85.80  1.132  24.7
74.56  1.273  16.0
67.53  1.387  11.5



Theoretical powder diffractogram
Compound: KHfTePdSe2
Radiation: Cu Kα X-rays
Structure: a crystal structure in OQMD, relaxed with GGA-PBE
Kinematic intensities with the Lorentz-polarization factor, no thermal factor.

a = 8.713 Å, b = 3.948 Å, c = 10.000 Å
α = 90.00°, β = 111.92°, γ = 90.00°
Fractional positions:
K 0.229 0.250 0.215
K 0.771 0.750 0.785
Hf 0.187 0.750 0.668
Hf 0.813 0.250 0.332
Te 0.415 0.250 0.638
Te 0.585 0.750 0.362
Pd 0.400 0.250 0.907
Pd 0.600 0.750 0.093
Se 0.040 0.750 0.368
Se 0.241 0.750 0.944
Se 0.759 0.250 0.056
Se 0.960 0.250 0.632

Largest 10 diffraction maxima, by intensity, 2θ from 10° to 90°:
Position (°2θ)  d (Å)  I (rel.)
11.53  7.677  100.0
31.68  2.824  33.1
30.59  2.922  32.8
43.56  2.078  23.5
28.87  3.092  17.4
45.97  1.974  16.5
35.24  2.547  15.2
38.58  2.333  12.6
42.07  2.148  11.9
49.03  1.858  10.5



Theoretical powder diffractogram
Compound: HoTePSe3
Radiation: Cu Kα X-rays
Structure: a crystal structure in OQMD, relaxed with GGA-PBE
Kinematic intensities with the Lorentz-polarization factor, no thermal factor.

a = 6.765 Å, b = 6.990 Å, c = 7.927 Å
α = 87.95°, β = 86.82°, γ = 86.32°
Fractional positions:
Ho 0.195 0.223 0.057
Ho 0.805 0.777 0.943
Te 0.372 0.771 0.115
Te 0.628 0.229 0.885
P 0.305 0.753 0.813
P 0.695 0.247 0.187
Se 0.093 0.008 0.761
Se 0.108 0.511 0.775
Se 0.421 0.255 0.349
Se 0.579 0.745 0.651
Se 0.892 0.489 0.225
Se 0.907 0.992 0.239

Largest 10 diffraction maxima, by intensity, 2θ from 10° to 90°:
Position (°2θ)  d (Å)  I (rel.)
11.19  7.910  100.0
29.33  3.045  42.5
25.53  3.489  25.7
27.86  3.203  25.7
37.26  2.413  21.2
29.58  3.020  17.3
35.90  2.501  17.0
31.72  2.821  15.3
30.18  2.961  15.0
48.67  1.871  13.7



Theoretical powder diffractogram
Compound: Er2Si2O7
Radiation: Cu Kα X-rays
Structure: a crystal structure in OQMD, relaxed with GGA-PBE
Kinematic intensities with the Lorentz-polarization factor, no thermal factor.

a = 4.684 Å, b = 10.743 Å, c = 5.525 Å
α = 90.00°, β = 96.05°, γ = 90.00°
Fractional positions:
Er 0.112 0.150 0.407
Er 0.112 0.350 0.907
Er 0.888 0.650 0.093
Er 0.888 0.850 0.593
Si 0.359 0.613 0.645
Si 0.359 0.887 0.145
Si 0.641 0.113 0.855
Si 0.641 0.387 0.355
O 0.120 0.684 0.458
O 0.120 0.816 0.958
O 0.205 0.551 0.870
O 0.205 0.949 0.370
O 0.381 0.205 0.745
O 0.381 0.295 0.245
O 0.500 0.000 0.000
O 0.500 0.500 0.500
O 0.619 0.705 0.755
O 0.619 0.795 0.255
O 0.795 0.051 0.630
O 0.795 0.449 0.130
O 0.880 0.184 0.042
O 0.880 0.316 0.542

Largest 10 diffraction maxima, by intensity, 2θ from 10° to 90°:
Position (°2θ)  d (Å)  I (rel.)
29.02  3.077  100.0
27.66  3.225  56.2
19.05  4.658  40.7
18.14  4.891  33.9
33.68  2.661  30.9
29.78  3.000  30.9
20.78  4.274  28.0
36.55  2.459  26.9
54.22  1.692  26.0
41.35  2.183  22.8